For AcY6Th2, a PBE-relaxed structure gives the theoretical PXRD pattern in this record (CuKα).
Kinematic intensities with the Lorentz-polarization factor, no thermal factor.

Atomic structure:
Cell lengths 3.634, 3.634, 26.754 Å; angles 90.00, 90.00, 120.00 degrees
Atoms (fractional coordinates):
Ac (0.000, 0.000, 0.000)
Y (0.000, 0.000, 0.223)
Y (0.000, 0.000, 0.438)
Y (0.000, 0.000, 0.562)
Y (0.000, 0.000, 0.777)
Y (0.333, 0.667, 0.117)
Y (0.333, 0.667, 0.883)
Th (0.333, 0.667, 0.333)
Th (0.333, 0.667, 0.667)

The 6 most intense peaks (2θ from 10° to 80°), in order of rising 2θ:
2θ 28.36, I 55
2θ 30.08, I 86
2θ 31.41, I 99
2θ 33.02, I 100
2θ 50.20, I 50
2θ 59.63, I 65

=====

For AcThZr, a PBE-relaxed structure gives the theoretical PXRD pattern in this record (CuKα).
Kinematic intensities with the Lorentz-polarization factor, no thermal factor.

Atomic structure:
Cell lengths 3.581, 3.581, 8.602 Å; angles 90.00, 90.00, 120.00 degrees
Atoms (fractional coordinates):
Ac (0.000, 0.000, 0.000)
Th (0.333, 0.667, 0.644)
Zr (0.667, 0.333, 0.340)

The 6 most intense peaks (2θ from 10° to 80°), in order of rising 2θ:
2θ 30.64, I 100
2θ 31.19, I 28
2θ 35.69, I 62
2θ 51.01, I 23
2θ 51.73, I 24
2θ 61.01, I 25

=====

For Ac3Ti, a PBE-relaxed structure gives the theoretical PXRD pattern in this record (CuKα).
Kinematic intensities with the Lorentz-polarization factor, no thermal factor.

Atomic structure:
Cell lengths 6.488, 6.488, 6.488 Å; angles 131.80, 131.80, 70.55 degrees
Atoms (fractional coordinates):
Ac (0.000, 0.000, 0.000)
Ac (0.250, 0.750, 0.500)
Ac (0.750, 0.250, 0.500)
Ti (0.500, 0.500, 0.000)

The 6 most intense peaks (2θ from 10° to 80°), in order of rising 2θ:
2θ 18.72, I 17
2θ 29.19, I 100
2θ 33.84, I 51
2θ 48.60, I 38
2θ 57.71, I 45
2θ 78.72, I 19

=====

For AcTmTi, a PBE-relaxed structure gives the theoretical PXRD pattern in this record (CuKα).
Kinematic intensities with the Lorentz-polarization factor, no thermal factor.

Atomic structure:
Cell lengths 3.877, 3.877, 12.204 Å; angles 90.00, 90.00, 90.00 degrees
Atoms (fractional coordinates):
Ac (0.250, 0.250, 0.122)
Ac (0.750, 0.750, 0.878)
Tm (0.250, 0.250, 0.416)
Tm (0.750, 0.750, 0.584)
Ti (0.250, 0.250, 0.708)
Ti (0.750, 0.750, 0.292)

The 6 most intense peaks (2θ from 10° to 80°), in order of rising 2θ:
2θ 24.09, I 54
2θ 31.89, I 100
2θ 32.67, I 67
2θ 44.43, I 25
2θ 46.87, I 24
2θ 57.81, I 37

=====

For AcZrTi, a PBE-relaxed structure gives the theoretical PXRD pattern in this record (CuKα).
Kinematic intensities with the Lorentz-polarization factor, no thermal factor.

Atomic structure:
Cell lengths 8.112, 6.453, 6.088 Å; angles 80.55, 51.69, 47.76 degrees
Atoms (fractional coordinates):
Ac (0.139, 0.139, 0.861)
Ac (0.861, 0.861, 0.139)
Zr (0.305, 0.695, 0.305)
Zr (0.695, 0.305, 0.695)
Ti (0.250, 0.250, 0.250)
Ti (0.750, 0.750, 0.750)

The 6 most intense peaks (2θ from 10° to 80°), in order of rising 2θ:
2θ 20.65, I 58
2θ 29.75, I 100
2θ 30.89, I 91
2θ 32.36, I 33
2θ 34.30, I 74
2θ 50.56, I 37

=====

For Ac2Tl3, a PBE-relaxed structure gives the theoretical PXRD pattern in this record (CuKα).
Kinematic intensities with the Lorentz-polarization factor, no thermal factor.

Atomic structure:
Cell lengths 6.657, 6.657, 8.775 Å; angles 90.00, 90.00, 118.01 degrees
Atoms (fractional coordinates):
Ac (0.147, 0.853, 0.894)
Ac (0.353, 0.647, 0.394)
Ac (0.647, 0.353, 0.606)
Ac (0.853, 0.147, 0.106)
Tl (0.000, 0.000, 0.500)
Tl (0.131, 0.369, 0.750)
Tl (0.369, 0.131, 0.250)
Tl (0.500, 0.500, 0.000)
Tl (0.631, 0.869, 0.750)
Tl (0.869, 0.631, 0.250)

The 6 most intense peaks (2θ from 10° to 80°), in order of rising 2θ:
2θ 25.33, I 49
2θ 28.70, I 84
2θ 32.12, I 100
2θ 33.17, I 52
2θ 34.46, I 58
2θ 59.61, I 37

=====

For Ac3Tl2, a PBE-relaxed structure gives the theoretical PXRD pattern in this record (CuKα).
Kinematic intensities with the Lorentz-polarization factor, no thermal factor.

Atomic structure:
Cell lengths 13.316, 5.158, 11.669 Å; angles 90.00, 90.00, 90.00 degrees
Atoms (fractional coordinates):
Ac (0.060, 0.250, 0.115)
Ac (0.110, 0.750, 0.563)
Ac (0.221, 0.250, 0.804)
Ac (0.279, 0.750, 0.304)
Ac (0.390, 0.250, 0.063)
Ac (0.440, 0.750, 0.615)
Ac (0.560, 0.250, 0.385)
Ac (0.610, 0.750, 0.937)
Ac (0.721, 0.250, 0.696)
Ac (0.779, 0.750, 0.196)
Ac (0.890, 0.250, 0.437)
Ac (0.940, 0.750, 0.885)
Tl (0.016, 0.750, 0.291)
Tl (0.211, 0.750, 0.008)
Tl (0.289, 0.250, 0.508)
Tl (0.484, 0.250, 0.791)
Tl (0.516, 0.750, 0.209)
Tl (0.711, 0.750, 0.492)
Tl (0.789, 0.250, 0.992)
Tl (0.984, 0.250, 0.709)

The 6 most intense peaks (2θ from 10° to 80°), in order of rising 2θ:
2θ 25.21, I 57
2θ 27.59, I 100
2θ 28.75, I 93
2θ 29.53, I 67
2θ 32.93, I 57
2θ 34.79, I 84

=====

For Ac2Tm3Tl4, a PBE-relaxed structure gives the theoretical PXRD pattern in this record (CuKα).
Kinematic intensities with the Lorentz-polarization factor, no thermal factor.

Atomic structure:
Cell lengths 8.550, 8.461, 8.248 Å; angles 90.00, 108.71, 90.00 degrees
Atoms (fractional coordinates):
Ac (0.191, 0.177, 0.065)
Ac (0.191, 0.323, 0.565)
Ac (0.809, 0.677, 0.435)
Ac (0.809, 0.823, 0.935)
Tm (0.250, 0.664, 0.248)
Tm (0.250, 0.836, 0.748)
Tm (0.500, 0.000, 0.500)
Tm (0.500, 0.500, 0.000)
Tm (0.750, 0.164, 0.252)
Tm (0.750, 0.336, 0.752)
Tl (0.083, 0.544, 0.858)
Tl (0.083, 0.956, 0.358)
Tl (0.499, 0.629, 0.634)
Tl (0.499, 0.871, 0.134)
Tl (0.501, 0.129, 0.866)
Tl (0.501, 0.371, 0.366)
Tl (0.917, 0.044, 0.642)
Tl (0.917, 0.456, 0.142)

The 6 most intense peaks (2θ from 10° to 80°), in order of rising 2θ:
2θ 28.21, I 39
2θ 30.04, I 100
2θ 30.31, I 84
2θ 30.53, I 67
2θ 33.78, I 82
2θ 34.29, I 75